1.
Diffraction record for Cr3GaRh. The powder diffraction line list is calculated, not measured: it uses a structure optimized by DFT (GGA-PBE) and Cu Kα.
Intensities are scaled so that the largest is 100.

```
data_Cr3GaRh
_cell_length_a 4.728
_cell_length_b 4.728
_cell_length_c 4.728
_cell_angle_alpha 90.00
_cell_angle_beta 90.00
_cell_angle_gamma 90.00
_space_group_name_H-M_alt 'P m -3 m'
_space_group_IT_number 221
_space_group_name_Hall '-P 4 2 3'
loop_
_atom_site_label
_atom_site_fract_x
_atom_site_fract_y
_atom_site_fract_z
_atom_site_occupancy
Cr1 0.000 0.000 0.500 1
Ga1 0.500 0.500 0.500 1
Rh1 0.000 0.000 0.000 1
```

Largest 8 diffraction maxima, low angle first, 2θ from 15° to 90°:
(hkl), 2θ (°), Rel. int.
1 0 0, 18.8, 42
1 1 0, 26.7, 70
1 1 1, 32.8, 30
2 0 0, 38.1, 100
2 1 0, 42.8, 18
2 1 1, 47.1, 30
2 2 0, 54.9, 65
2 2 2, 68.8, 21

2.
Diffraction record for CrGaTcRh. The powder diffraction line list is calculated, not measured: it uses a structure optimized by DFT (GGA-PBE) and Cu Kα.
Intensities are scaled so that the largest is 100.

```
data_CrGaTcRh
_cell_length_a 6.037
_cell_length_b 6.037
_cell_length_c 6.037
_cell_angle_alpha 90.00
_cell_angle_beta 90.00
_cell_angle_gamma 90.00
_space_group_name_H-M_alt 'F -4 3 m'
_space_group_IT_number 216
_space_group_name_Hall 'F -4 2 3'
loop_
_atom_site_label
_atom_site_fract_x
_atom_site_fract_y
_atom_site_fract_z
_atom_site_occupancy
Cr1 0.000 0.000 0.000 1
Ga1 0.000 0.000 0.500 1
Tc1 0.250 0.250 0.250 1
Rh1 0.250 0.250 0.750 1
```

Largest 8 diffraction maxima, low angle first, 2θ from 15° to 90°:
(hkl), 2θ (°), Rel. int.
1 1 1, 25.6, 1
2 0 0, 29.6, 8
2 2 0, 42.3, 100
3 1 1, 50.1, 1
2 2 2, 52.5, 2
4 0 0, 61.4, 16
4 2 0, 69.6, 3
4 2 2, 77.4, 31

3.
Diffraction record for Cr2Ga2Sb. The powder diffraction line list is calculated, not measured: it uses a structure optimized by DFT (GGA-PBE) and Cu Kα.
Intensities are scaled so that the largest is 100.

```
data_Cr2Ga2Sb
_cell_length_a 6.481
_cell_length_b 6.481
_cell_length_c 3.903
_cell_angle_alpha 90.00
_cell_angle_beta 90.00
_cell_angle_gamma 90.00
_space_group_name_H-M_alt 'P 4/m b m'
_space_group_IT_number 127
_space_group_name_Hall '-P 4 2ab'
loop_
_atom_site_label
_atom_site_fract_x
_atom_site_fract_y
_atom_site_fract_z
_atom_site_occupancy
Cr1 0.120 0.380 0.000 1
Ga1 0.157 0.657 0.500 1
Sb1 0.000 0.000 0.000 1
```

Largest 8 diffraction maxima, low angle first, 2θ from 15° to 90°:
(hkl), 2θ (°), Rel. int.
1 1 1, 30.1, 33
2 0 1, 36.0, 61
2 1 1, 38.7, 100
2 2 0, 39.3, 14
3 1 0, 44.2, 61
0 0 2, 46.5, 29
3 3 1, 65.6, 15
3 1 2, 66.1, 35

4.
Diffraction record for ScCr2Ga2. The powder diffraction line list is calculated, not measured: it uses a structure optimized by DFT (GGA-PBE) and Cu Kα.
Intensities are scaled so that the largest is 100.

```
data_ScCr2Ga2
_cell_length_a 3.593
_cell_length_b 3.593
_cell_length_c 11.898
_cell_angle_alpha 90.00
_cell_angle_beta 90.00
_cell_angle_gamma 90.00
_space_group_name_H-M_alt 'I 4/m m m'
_space_group_IT_number 139
_space_group_name_Hall '-I 4 2'
loop_
_atom_site_label
_atom_site_fract_x
_atom_site_fract_y
_atom_site_fract_z
_atom_site_occupancy
Sc1 0.000 0.000 0.000 1
Cr1 0.000 0.500 0.250 1
Ga1 0.000 0.000 0.396 1
```

Largest 8 diffraction maxima, low angle first, 2θ from 15° to 90°:
(hkl), 2θ (°), Rel. int.
1 0 1, 25.9, 40
1 0 3, 33.7, 40
1 1 2, 38.5, 100
1 0 5, 45.7, 72
1 1 4, 47.0, 54
2 0 0, 50.8, 52
0 0 8, 62.4, 19
2 1 5, 70.8, 42

5.
Diffraction record for CrGaSe3. The powder diffraction line list is calculated, not measured: it uses a structure optimized by DFT (GGA-PBE) and Cu Kα.
Intensities are scaled so that the largest is 100.

```
data_CrGaSe3
_cell_length_a 3.805
_cell_length_b 20.407
_cell_length_c 6.213
_cell_angle_alpha 90.00
_cell_angle_beta 90.00
_cell_angle_gamma 90.00
_space_group_name_H-M_alt 'C m c 21'
_space_group_IT_number 36
_space_group_name_Hall 'C 2c -2'
loop_
_atom_site_label
_atom_site_fract_x
_atom_site_fract_y
_atom_site_fract_z
_atom_site_occupancy
Cr1 0.000 0.176 0.000 1
Ga1 0.000 0.374 0.936 1
Se1 0.000 0.075 0.256 1
Se2 0.000 0.271 0.727 1
Se3 0.000 0.386 0.319 1
```

Largest 8 diffraction maxima, low angle first, 2θ from 15° to 90°:
(hkl), 2θ (°), Rel. int.
0 4 0, 17.4, 40
0 6 1, 30.0, 25
1 3 1, 30.5, 100
0 6 2, 39.3, 28
1 5 2, 43.7, 26
1 9 0, 46.6, 32
2 0 0, 47.8, 25
1 3 3, 52.0, 27

6.
Diffraction record for Zn3Cr12Ga2Se24. The powder diffraction line list is calculated, not measured: it uses a structure optimized by DFT (GGA-PBE) and Cu Kα.
Intensities are scaled so that the largest is 100.

```
data_Zn3Cr12Ga2Se24
_cell_length_a 7.484
_cell_length_b 7.484
_cell_length_c 31.726
_cell_angle_alpha 90.00
_cell_angle_beta 90.00
_cell_angle_gamma 90.00
_space_group_name_H-M_alt 'I -4 m 2'
_space_group_IT_number 119
_space_group_name_Hall 'I -4 -2'
loop_
_atom_site_label
_atom_site_fract_x
_atom_site_fract_y
_atom_site_fract_z
_atom_site_occupancy
Zn1 0.000 0.000 0.000 1
Zn2 0.000 0.500 0.083 1
Cr1 0.000 0.236 0.207 1
Cr2 0.000 0.246 0.873 1
Cr3 0.000 0.250 0.542 1
Ga1 0.000 0.000 0.331 1
Se1 0.000 0.229 0.128 1
Se2 0.000 0.229 0.462 1
Se3 0.000 0.233 0.795 1
Se4 0.000 0.270 0.622 1
Se5 0.000 0.271 0.954 1
Se6 0.000 0.272 0.288 1
```

Largest 8 diffraction maxima, low angle first, 2θ from 15° to 90°:
(hkl), 2θ (°), Rel. int.
1 0 9, 28.0, 34
2 0 6, 29.2, 54
0 0 12, 33.9, 84
3 2 3, 44.5, 33
4 0 0, 48.7, 100
4 2 6, 57.8, 20
4 0 12, 60.6, 17
2 2 24, 81.3, 19

7.
Diffraction record for VCrGaSi. The powder diffraction line list is calculated, not measured: it uses a structure optimized by DFT (GGA-PBE) and Cu Kα.
Intensities are scaled so that the largest is 100.

```
data_VCrGaSi
_cell_length_a 2.664
_cell_length_b 3.950
_cell_length_c 5.080
_cell_angle_alpha 90.00
_cell_angle_beta 98.84
_cell_angle_gamma 90.00
_space_group_name_H-M_alt 'P 1 m 1'
_space_group_IT_number 6
_space_group_name_Hall 'P -2y'
loop_
_atom_site_label
_atom_site_fract_x
_atom_site_fract_y
_atom_site_fract_z
_atom_site_occupancy
V1 0.000 0.000 0.000 1
Cr1 0.587 0.000 0.498 1
Ga1 0.207 0.500 0.696 1
Si1 0.546 0.500 0.206 1
```

Largest 8 diffraction maxima, low angle first, 2θ from 15° to 90°:
(hkl), 2θ (°), Rel. int.
0 0 1, 17.7, 24
1 0 1, 41.1, 39
1 1 0, 41.2, 24
0 1 2, 42.7, 100
1 1 -1, 42.9, 88
0 2 0, 45.9, 53
1 1 1, 47.4, 20
1 2 1, 63.3, 20

8.
Diffraction record for Sm4CrGa12. The powder diffraction line list is calculated, not measured: it uses a structure optimized by DFT (GGA-PBE) and Cu Kα.
Intensities are scaled so that the largest is 100.

```
data_Sm4CrGa12
_cell_length_a 8.744
_cell_length_b 8.744
_cell_length_c 8.744
_cell_angle_alpha 90.00
_cell_angle_beta 90.00
_cell_angle_gamma 90.00
_space_group_name_H-M_alt 'I m -3 m'
_space_group_IT_number 229
_space_group_name_Hall '-I 4 2 3'
loop_
_atom_site_label
_atom_site_fract_x
_atom_site_fract_y
_atom_site_fract_z
_atom_site_occupancy
Sm1 0.250 0.250 0.250 1
Cr1 0.000 0.000 0.000 1
Ga1 0.000 0.000 0.293 1
Ga2 0.000 0.250 0.500 1
```

Largest 8 diffraction maxima, low angle first, 2θ from 15° to 90°:
(hkl), 2θ (°), Rel. int.
2 0 0, 20.3, 8
2 2 0, 28.9, 22
2 2 2, 35.6, 100
4 0 0, 41.3, 56
4 2 0, 46.4, 7
4 4 0, 59.8, 33
6 2 2, 71.6, 31
4 4 4, 75.3, 10

Question: Number 8 is which compound?
Answer: Sm4CrGa12